The following is a simulated powder X-ray diffraction pattern of Er2ScPt9. It was derived from the GGA-PBE geometry in Alexandria, using Cu Kα (λ = 1.5418 Å).

Main lines, sorted by position (2θ from 10° to 90°):
2θ/deg  I (rel.)
21.84  3
31.08  2
38.31  100
44.52  49
50.12  1
64.79  32
77.84  38
82.02  11

Crystal structure
```
Er2ScPt9
1.0
4.071 0.000 0.000
0.000 4.071 0.000
0.000 0.000 12.204
Er Sc Pt
2 1 9
Direct
0.000 0.000 0.169
0.000 0.000 0.831
0.000 0.000 0.500
0.000 0.500 0.000
0.000 0.500 0.340
0.000 0.500 0.660
0.500 0.000 0.000
0.500 0.000 0.340
0.500 0.000 0.660
0.500 0.500 0.170
0.500 0.500 0.500
0.500 0.500 0.830
```


The following is a simulated powder X-ray diffraction pattern of RePdPt4. It was derived from the GGA-PBE geometry in Alexandria, using Cu Kα (λ = 1.5418 Å).

Main lines, sorted by position (2θ from 10° to 90°):
2θ/deg  I (rel.)
39.46  100
39.63  100
45.70  33
46.13  64
66.97  53
80.27  13
80.79  25
81.13  25

Crystal structure
```
RePdPt4
1.0
2.774 0.000 0.000
0.000 3.971 0.000
0.000 0.000 8.375
Re Pd Pt
1 1 4
Direct
0.000 0.000 0.000
0.500 0.500 0.500
0.000 0.000 0.327
0.000 0.000 0.673
0.500 0.500 0.160
0.500 0.500 0.840
```


The following is a simulated powder X-ray diffraction pattern of Mg2Al2NiPt5. It was derived from the GGA-PBE geometry in Alexandria, using Cu Kα (λ = 1.5418 Å).

Main lines, sorted by position (2θ from 10° to 90°):
2θ/deg  I (rel.)
24.60  78
30.16  35
34.51  28
39.30  100
39.66  45
42.84  45
47.23  42
76.57  27

Crystal structure
```
Mg2Al2NiPt5
1.0
9.370 0.000 0.000
0.000 9.370 0.000
0.000 0.000 3.618
Mg Al Ni Pt
4 4 2 10
Direct
0.171 0.329 0.000
0.329 0.829 0.000
0.671 0.171 0.000
0.829 0.671 0.000
0.130 0.630 0.000
0.370 0.130 0.000
0.630 0.870 0.000
0.870 0.370 0.000
0.000 0.000 0.000
0.500 0.500 0.000
0.000 0.500 0.500
0.073 0.803 0.500
0.197 0.073 0.500
0.303 0.573 0.500
0.427 0.303 0.500
0.500 0.000 0.500
0.573 0.697 0.500
0.697 0.427 0.500
0.803 0.927 0.500
0.927 0.197 0.500
```


The following is a simulated powder X-ray diffraction pattern of GaPdO4. It was derived from the GGA-PBE geometry in Alexandria, using Cu Kα (λ = 1.5418 Å).

Main lines, sorted by position (2θ from 10° to 90°):
2θ/deg  I (rel.)
27.52  100
34.95  73
39.32  19
53.61  65
56.82  16
64.27  13
66.93  15
68.47  20

Crystal structure
```
GaPdO4
1.0
-3.241 3.241 3.100
3.241 -3.241 3.100
3.241 3.241 -3.100
Ga Pd O
2 2 8
Direct
0.000 0.000 0.000
0.750 0.250 0.500
0.263 0.763 0.500
0.513 0.513 0.000
0.198 0.506 0.692
0.256 0.064 0.808
0.256 0.448 0.192
0.313 0.010 0.304
0.706 0.010 0.696
0.760 0.563 0.804
0.760 0.956 0.196
0.814 0.506 0.308
```


The following is a simulated powder X-ray diffraction pattern of ErSi2Pd4. It was derived from the GGA-PBE geometry in Alexandria, using Cu Kα (λ = 1.5418 Å).

Main lines, sorted by position (2θ from 10° to 90°):
2θ/deg  I (rel.)
35.17  100
35.90  40
40.49  18
43.74  19
47.38  17
49.47  16
62.62  16
64.05  21

Crystal structure
```
ErSi2Pd4
1.0
7.911 0.000 0.000
0.000 7.911 0.000
0.000 0.000 3.685
Er Si Pd
2 4 8
Direct
0.000 0.000 0.000
0.500 0.500 0.500
0.227 0.227 0.500
0.273 0.727 0.000
0.727 0.273 0.000
0.773 0.773 0.500
0.071 0.683 0.500
0.183 0.429 0.000
0.317 0.929 0.500
0.429 0.183 0.000
0.571 0.817 0.000
0.683 0.071 0.500
0.817 0.571 0.000
0.929 0.317 0.500
```


The following is a simulated powder X-ray diffraction pattern of Tb2Dy6Zn. It was derived from the GGA-PBE geometry in Alexandria, using Cu Kα (λ = 1.5418 Å).

Main lines, sorted by position (2θ from 10° to 90°):
2θ/deg  I (rel.)
31.33  44
31.94  100
32.13  36
32.65  77
33.17  23
33.50  60
47.10  25
58.90  22

Crystal structure
```
Tb2Dy6Zn
1.0
9.867 0.000 0.000
0.000 10.128 0.000
0.000 0.000 5.350
Tb Dy Zn
4 12 2
Direct
0.200 0.235 0.000
0.300 0.735 0.500
0.700 0.265 0.500
0.800 0.765 0.000
0.026 0.313 0.500
0.130 0.889 0.000
0.187 0.561 0.000
0.313 0.061 0.500
0.370 0.389 0.500
0.474 0.813 0.000
0.526 0.187 0.000
0.630 0.611 0.500
0.687 0.939 0.500
0.813 0.439 0.000
0.870 0.111 0.000
0.974 0.687 0.500
0.000 0.000 0.500
0.500 0.500 0.000
```


The following is a simulated powder X-ray diffraction pattern of RbSrP. It was derived from the GGA-PBE geometry in Alexandria, using Cu Kα (λ = 1.5418 Å).

Main lines, sorted by position (2θ from 10° to 90°):
2θ/deg  I (rel.)
22.38  38
23.34  61
32.56  100
33.24  51
40.45  32
47.73  18
51.91  20
58.97  35

Crystal structure
```
RbSrP
1.0
-2.695 2.695 7.945
2.695 -2.695 7.945
2.695 2.695 -7.945
Rb Sr P
2 2 2
Direct
0.000 0.500 0.500
0.500 0.000 0.500
0.250 0.750 0.500
0.750 0.250 0.500
0.154 0.154 0.000
0.846 0.846 0.000
```


The following is a simulated powder X-ray diffraction pattern of YTmZrSc. It was derived from the GGA-PBE geometry in Alexandria, using Cu Kα (λ = 1.5418 Å).

Main lines, sorted by position (2θ from 10° to 90°):
2θ/deg  I (rel.)
18.65  9
20.88  14
32.61  100
37.83  50
54.57  34
65.04  39
68.32  11
89.90  17

Crystal structure
```
YTmZrSc
1.0
-2.378 2.378 4.759
2.378 -2.378 4.759
2.378 2.378 -4.759
Y Tm Zr Sc
1 1 1 1
Direct
0.000 0.000 0.000
0.250 0.750 0.500
0.750 0.250 0.500
0.500 0.500 0.000
```


The following is a simulated powder X-ray diffraction pattern of BaPm3Si2. It was derived from the GGA-PBE geometry in Alexandria, using Cu Kα (λ = 1.5418 Å).

Main lines, sorted by position (2θ from 10° to 90°):
2θ/deg  I (rel.)
25.32  53
27.78  100
32.19  52
35.17  42
43.03  40
49.14  28
51.99  35
67.34  29

Crystal structure
```
BaPm3Si2
1.0
7.416 0.000 0.000
-3.708 6.422 0.000
0.000 0.000 4.205
Ba Pm Si
1 3 2
Direct
0.000 0.000 0.000
0.000 0.500 0.500
0.500 0.000 0.500
0.500 0.500 0.500
0.333 0.667 0.000
0.667 0.333 0.000
```


The following is a simulated powder X-ray diffraction pattern of ErSnS4. It was derived from the GGA-PBE geometry in Alexandria, using Cu Kα (λ = 1.5418 Å).

Main lines, sorted by position (2θ from 10° to 90°):
2θ/deg  I (rel.)
23.66  98
23.96  100
26.87  38
27.46  36
28.33  36
38.80  41
39.45  54
45.57  35

Crystal structure
```
ErSnS4
1.0
6.302 0.000 0.000
0.000 6.637 0.000
-0.118 0.000 6.496
Er Sn S
2 2 8
Direct
0.000 0.000 0.000
0.000 0.500 0.500
0.500 0.000 0.500
0.500 0.500 0.000
0.132 0.130 0.385
0.132 0.370 0.885
0.357 0.659 0.327
0.357 0.841 0.827
0.643 0.159 0.173
0.643 0.341 0.673
0.868 0.630 0.115
0.868 0.870 0.615
```


The following is a simulated powder X-ray diffraction pattern of TiNb2. It was derived from the GGA-PBE geometry in Alexandria, using Cu Kα (λ = 1.5418 Å).

Main lines, sorted by position (2θ from 10° to 90°):
2θ/deg  I (rel.)
19.98  43
32.92  11
38.81  100
40.61  64
47.24  18
62.73  30
69.04  29
83.28  23

Crystal structure
```
TiNb2
1.0
0.000 3.848 3.848
3.848 0.000 3.848
3.848 3.848 0.000
Ti Nb
2 4
Direct
0.125 0.125 0.125
0.875 0.875 0.875
0.000 0.500 0.500
0.500 0.000 0.500
0.500 0.500 0.000
0.500 0.500 0.500
```


- Which formula does entry 1 have?
  Er2ScPt9